Computed X-ray powder pattern
Compound: Nb2CS2
Radiation: copper Kα
Structure: a structure optimized by DFT (PBE)
No peak broadening, texture or thermal motion is included.

Top 12 peaks for 15° ≤ 2θ ≤ 90°, by angle:
| d/Å | Position (°2θ) | I (rel.) |
| --- | --- | --- |
| 2.829 | 31.62 | 46 |
| 2.642 | 33.93 | 40 |
| 2.546 | 35.25 | 80 |
| 2.383 | 37.76 | 18 |
| 2.334 | 38.58 | 54 |
| 2.225 | 40.54 | 100 |
| 1.740 | 52.61 | 33 |
| 1.642 | 56.02 | 43 |
| 1.618 | 56.92 | 19 |
| 1.513 | 61.27 | 18 |
| 1.352 | 69.54 | 17 |
| 1.321 | 71.41 | 17 |

a b c (Å): 9.7169 9.7169 9.7169
angles (deg): 19.45 19.45 19.45
Element x y z (fractional)
Nb (0.1248, 0.1248, 0.1248)
Nb (0.8752, 0.8752, 0.8752)
C (0.5000, 0.5000, 0.5000)
S (0.2666, 0.2666, 0.2666)
S (0.7334, 0.7334, 0.7334)